Starting from DFT lattice parameters and positions (GGA+U), the powder XRD pattern of Li3V3O3F5 was computed for Cu Kα.
Neutral-atom scattering factors, no anomalous dispersion.

Atomic structure:
Lattice parameters (Å, degrees): 6.023 6.063 6.084 60.59 60.45 89.71
Space group P1 (No. 1)
Asymmetric unit:
1 Li 0.000 0.000 0.000
2 Li 0.269 0.741 0.461
3 Li 0.618 0.344 0.759
4 V 0.140 0.347 0.239
5 V 0.620 0.349 0.235
6 V 0.633 0.861 0.735
7 O 0.388 0.141 0.223
8 O 0.388 0.587 0.214
9 O 0.872 0.140 0.253
10 F 0.381 0.595 0.755
11 F 0.397 0.127 0.717
12 F 0.864 0.593 0.753
13 F 0.871 0.584 0.251
14 F 0.882 0.125 0.720

Peak list (10 most intense, 10 to 90 degrees two-theta, in order of rising 2θ)
Position (°2θ)  intensity  index
17.68  17  0 1 0
17.90  100  0 1 1
33.90  14  0 1 -1
34.63  15  2 1 1
34.86  15  2 -1 1
41.23  30  0 0 2
42.20  27  2 2 2
42.42  27  2 -2 0
60.01  9  2 2 0
60.46  9  2 -2 2